No. 1
# PaNi2Pb2S4
Calculated X-ray diffraction stick pattern, copper Kα. Input: a crystal structure in Alexandria, relaxed with PBE.

Atomic structure:
```
data_PaNi2Pb2S4
_chemical_formula_sum 'Pa2 Ni4 Pb4 S8'
_cell_length_a 13.751
_cell_length_b 3.762
_cell_length_c 7.898
_cell_angle_alpha 90.00
_cell_angle_beta 103.45
_cell_angle_gamma 90.00
_space_group_name_H-M_alt 'C 1 2/m 1'
_space_group_IT_number 12
_space_group_name_Hall '-C 2y'
loop_
_atom_site_label
_atom_site_type_symbol
_atom_site_fract_x
_atom_site_fract_y
_atom_site_fract_z
Pa1 Pa 0.000 0.000 0.000
Ni1 Ni 0.182 0.500 0.993
Pb1 Pb 0.144 0.000 0.483
S1 S 0.038 0.500 0.779
S2 S 0.195 0.000 0.154
```

The 10 most intense peaks (2θ from 10° to 90°), low angle first:
d_spacing  intensity
5.749  23
3.841  63
3.621  35
3.365  21
2.835  100
2.722  27
2.569  43
2.556  23
2.073  35
1.784  21

No. 2
# La5Tb2PrSm
Calculated X-ray diffraction stick pattern, copper Kα. Input: a crystal structure in Alexandria, relaxed with PBE.

Atomic structure:
```
data_La5Tb2PrSm
_chemical_formula_sum 'La10 Tb4 Pr2 Sm2'
_cell_length_a 8.102
_cell_length_b 8.102
_cell_length_c 10.065
_cell_angle_alpha 90.00
_cell_angle_beta 90.00
_cell_angle_gamma 90.00
_space_group_name_H-M_alt 'P 4/m b m'
_space_group_IT_number 127
_space_group_name_Hall '-P 4 2ab'
loop_
_atom_site_label
_atom_site_type_symbol
_atom_site_fract_x
_atom_site_fract_y
_atom_site_fract_z
La1 La 0.000 0.000 0.000
La2 La 0.202 0.298 0.261
Tb1 Tb 0.129 0.629 0.000
Pr1 Pr 0.000 0.000 0.500
Sm1 Sm 0.000 0.500 0.500
```

The 10 most intense peaks (2θ from 10° to 90°), low angle first:
d_spacing  intensity
3.409  20
3.156  100
2.940  61
2.864  34
2.562  14
2.516  29
1.890  19
1.830  14
1.705  17
1.549  18